# 1
MgNb4O10: calculated PXRD pattern (Cu Kα (λ = 1.5418 Å)), based on DFT lattice parameters and positions (PBE).
No peak broadening, texture or thermal motion is included.

Crystal structure
```
MgNb4O10
1.0
5.1130 0.0000 0.0000
0.0061 5.6894 0.0000
2.4902 1.5797 6.3709
Mg Nb O
1 4 10
Direct
0.0000 0.0000 0.0000 Mg
0.1600 0.4456 0.6230 Nb
0.3555 0.8482 0.2804 Nb
0.6349 0.9244 0.6834 Nb
0.8921 0.3820 0.2158 Nb
0.0101 0.8005 0.5468 O
0.0999 0.6869 0.1512 O
0.1818 0.1489 0.1728 O
0.3160 0.1304 0.7233 O
0.4168 0.6494 0.7124 O
0.5020 0.4976 0.3428 O
0.6345 0.0207 0.3358 O
0.6555 0.8968 0.9544 O
0.8953 0.2893 0.5339 O
0.8977 0.3780 0.9433 O
```

Most intense lines, 2θ from 10° to 90°, sorted by position:
(1 -1 0), 23.60 deg, I = 100; (0 0 2), 28.01 deg, I = 30; (-1 1 1), 28.96 deg, I = 32; (1 1 2), 29.17 deg, I = 38; (0 2 0), 32.43 deg, I = 29; (1 -1 2), 34.53 deg, I = 21; (1 -3 0), 51.63 deg, I = 25; (-2 2 1), 52.29 deg, I = 28



# 2
MgNb4O10: calculated PXRD pattern (Cu Kα (λ = 1.5418 Å)), based on DFT lattice parameters and positions (PBE).
No peak broadening, texture or thermal motion is included.

Crystal structure
```
MgNb4O10
1.0
6.8940 0.0000 0.0000
0.0000 3.9737 0.0000
-0.1355 0.0000 7.3548
Mg Nb O
1 4 10
Direct
0.0000 0.0000 0.0000 Mg
0.1972 0.0000 0.4887 Nb
0.3135 0.5000 0.8578 Nb
0.7207 0.0000 0.3124 Nb
0.8297 0.5000 0.6664 Nb
0.0000 0.5000 0.8946 O
0.0349 0.0000 0.2760 O
0.1635 0.5000 0.5552 O
0.2559 0.0000 0.7921 O
0.3518 0.5000 0.0948 O
0.4502 0.0000 0.4078 O
0.5808 0.5000 0.7559 O
0.7154 0.0000 0.0682 O
0.7550 0.5000 0.3897 O
0.8705 0.0000 0.6167 O
```

Most intense lines, 2θ from 10° to 90°, sorted by position:
(0 0 1), 12.03 deg, I = 51; (1 0 -1), 17.47 deg, I = 34; (0 1 1), 25.48 deg, I = 100; (2 0 0), 25.85 deg, I = 41; (1 0 2), 27.70 deg, I = 40; (1 1 1), 28.74 deg, I = 42; (1 0 3), 39.23 deg, I = 33; (0 2 0), 45.65 deg, I = 45



# 3
MgTi3Nb2Pb6O18: calculated PXRD pattern (Cu Kα (λ = 1.5418 Å)), based on DFT lattice parameters and positions (PBE).
No peak broadening, texture or thermal motion is included.

Crystal structure
```
MgTi3Nb2Pb6O18
1.0
5.6883 0.0000 0.0000
-2.8442 4.9262 0.0000
0.0000 0.0000 13.9645
Mg Ti Nb Pb O
1 3 2 6 18
Direct
0.0000 0.0000 0.0000 Mg
0.0000 0.0000 0.5000 Ti
0.3333 0.6667 0.6629 Ti
0.6667 0.3333 0.3371 Ti
0.3333 0.6667 0.1638 Nb
0.6667 0.3333 0.8362 Nb
0.0000 0.0000 0.2525 Pb
0.0000 0.0000 0.7475 Pb
0.3333 0.6667 0.4195 Pb
0.3333 0.6667 0.9158 Pb
0.6667 0.3333 0.0842 Pb
0.6667 0.3333 0.5805 Pb
0.0058 0.5029 0.7450 O
0.1663 0.3326 0.5816 O
0.1663 0.8337 0.5816 O
0.1687 0.3374 0.0876 O
0.1687 0.8313 0.0876 O
0.3326 0.1663 0.4184 O
0.3374 0.1687 0.9124 O
0.4971 0.5029 0.7450 O
0.4971 0.9942 0.7450 O
0.5029 0.0058 0.2550 O
0.5029 0.4971 0.2550 O
0.6626 0.8313 0.0876 O
0.6674 0.8337 0.5816 O
0.8313 0.1687 0.9124 O
0.8313 0.6626 0.9124 O
0.8337 0.1663 0.4184 O
0.8337 0.6674 0.4184 O
0.9942 0.4971 0.2550 O
```

Most intense lines, 2θ from 10° to 90°, sorted by position:
(0 1 2), 22.08 deg, I = 30; (1 1 0), 31.43 deg, I = 100; (2 0 2), 38.75 deg, I = 24; (0 2 4), 45.04 deg, I = 29; (1 2 2), 50.71 deg, I = 16; (2 1 4), 55.94 deg, I = 30; (3 0 0), 56.00 deg, I = 10; (1 3 4), 74.55 deg, I = 18



# 4
MgTiNb2Pb4O12: calculated PXRD pattern (Cu Kα (λ = 1.5418 Å)), based on DFT lattice parameters and positions (PBE).
No peak broadening, texture or thermal motion is included.

Crystal structure
```
MgTiNb2Pb4O12
1.0
8.0596 0.0000 0.0000
0.0214 8.3019 0.0000
4.0187 4.0024 8.2119
Mg Ti Nb Pb O
2 2 4 8 24
Direct
0.0000 0.0000 0.0000 Mg
0.2521 0.7512 0.4963 Mg
0.5094 0.5139 0.9902 Ti
0.7574 0.2619 0.4950 Ti
0.0061 0.4980 0.9963 Nb
0.2587 0.2459 0.4921 Nb
0.5029 0.0111 0.9948 Nb
0.7510 0.7615 0.4980 Nb
0.1371 0.1550 0.2280 Pb
0.1474 0.6687 0.2280 Pb
0.3702 0.9148 0.7362 Pb
0.3883 0.4092 0.7188 Pb
0.6352 0.6681 0.2259 Pb
0.6503 0.1575 0.2236 Pb
0.9029 0.4072 0.7192 Pb
0.9053 0.9139 0.7334 Pb
0.1155 0.5977 0.7657 O
0.1233 0.0994 0.7493 O
0.2375 0.4692 0.5197 O
0.2391 0.9916 0.5120 O
0.2422 0.4715 0.0194 O
0.2515 0.9683 0.0069 O
0.3685 0.3522 0.2549 O
0.3759 0.8505 0.2438 O
0.4923 0.2316 0.0118 O
0.4945 0.7222 0.0089 O
0.4970 0.2285 0.5112 O
0.4965 0.7115 0.5221 O
0.6148 0.5946 0.7671 O
0.6197 0.0991 0.7554 O
0.7350 0.4718 0.0206 O
0.7377 0.4685 0.5215 O
0.7393 0.9689 0.0090 O
0.7428 0.9815 0.5116 O
0.8613 0.3463 0.2704 O
0.8657 0.8475 0.2664 O
0.9802 0.2337 0.0320 O
0.9806 0.7114 0.5217 O
0.9852 0.7167 0.0219 O
0.9890 0.2294 0.5106 O
```

Most intense lines, 2θ from 10° to 90°, sorted by position:
(0 2 1), 21.41 deg, I = 21; (0 0 2), 21.64 deg, I = 19; (0 2 -1), 30.34 deg, I = 35; (0 2 3), 30.92 deg, I = 100; (2 0 3), 31.10 deg, I = 66; (2 2 4), 38.30 deg, I = 20; (0 0 4), 44.11 deg, I = 18; (4 0 2), 44.99 deg, I = 18



# 5
MgTiNb2Pb4O12: calculated PXRD pattern (Cu Kα (λ = 1.5418 Å)), based on DFT lattice parameters and positions (PBE).
No peak broadening, texture or thermal motion is included.

Crystal structure
```
MgTiNb2Pb4O12
1.0
5.7790 0.0000 0.0000
0.0000 8.0381 0.0000
0.0000 0.0000 5.8767
Mg Ti Nb Pb O
1 1 2 4 12
Direct
0.0000 0.0000 0.0000 Mg
0.5000 0.5000 0.4764 Ti
0.0000 0.5000 0.9778 Nb
0.5000 0.0000 0.5050 Nb
0.0000 0.2420 0.4500 Pb
0.0000 0.7580 0.4500 Pb
0.5000 0.2320 0.9590 Pb
0.5000 0.7680 0.9590 Pb
0.0000 0.2594 0.0472 O
0.0000 0.7406 0.0472 O
0.2483 0.0000 0.2815 O
0.2518 0.5000 0.2822 O
0.2544 0.5000 0.7743 O
0.2684 0.0000 0.7730 O
0.5000 0.2545 0.5286 O
0.5000 0.7455 0.5286 O
0.7316 0.0000 0.7730 O
0.7456 0.5000 0.7743 O
0.7482 0.5000 0.2822 O
0.7517 0.0000 0.2815 O
```

Most intense lines, 2θ from 10° to 90°, sorted by position:
(1 0 1), 21.57 deg, I = 30; (0 0 2), 30.42 deg, I = 27; (2 0 0), 30.95 deg, I = 26; (1 2 1), 31.08 deg, I = 100; (2 2 0), 38.37 deg, I = 16; (2 0 2), 43.95 deg, I = 27; (1 2 3), 54.47 deg, I = 21; (3 2 1), 55.13 deg, I = 21



Question: What is the formula in the second record?
Answer: MgNb4O10